Computed XRD peak list
Compound: VF5
Radiation: copper Kα
Structure: a cell relaxed with PBE+U
No peak broadening, texture or thermal motion is included.

The 6 most intense peaks (15 to 90 degrees two-theta), by angle:
(1 0 2), 15.38°, I 50; (0 0 4), 20.52°, I 48; (1 1 2), 22.35°, I 100; (2 1 0), 28.25°, I 26; (2 2 2), 41.65°, I 12; (3 2 2), 49.65°, I 22

Crystal structure
```
data_VF5
_cell_length_a 7.7179
_cell_length_b 5.5016
_cell_length_c 17.3070
_cell_angle_alpha 90.00
_cell_angle_beta 90.00
_cell_angle_gamma 90.00
_space_group_name_H-M_alt 'P n m a'
_space_group_IT_number 62
_space_group_name_Hall '-P 2ac 2n'
loop_
_atom_site_label
_atom_site_fract_x
_atom_site_fract_y
_atom_site_fract_z
V1 0.0452 0.2500 0.1406
V2 0.1083 0.2500 0.6183
F1 0.0246 0.5161 0.4148
F2 0.0297 0.2500 0.7140
F3 0.0343 0.2500 0.2425
F4 0.1031 0.5160 0.8737
F5 0.1291 0.2500 0.0456
F6 0.2289 0.9998 0.1598
F7 0.2494 0.2500 0.5378
```